Diffraction record for NbPbF7. The PXRD pattern is calculated, not measured: it uses a cell relaxed with GGA-PBE and Cu Kα, 1.54184 Å.
Peak positions follow from Bragg's law for the DFT cell and can differ from measured ones.

Structure:
Lattice parameters (Å, degrees): 4.7411 7.1641 6.5973 90.00 93.94 90.00
Space group P2_1/m (No. 11)
Symmetry-distinct sites (fractional):
Nb 0.0399 0.2500 0.2075 (multiplicity 2)
Pb 0.4679 0.2500 0.6800 (multiplicity 2)
F 0.0910 0.7500 0.5084 (multiplicity 2)
F 0.1155 0.7500 0.0781 (multiplicity 2)
F 0.1886 0.5282 0.8029 (multiplicity 4)
F 0.3070 0.0688 0.3593 (multiplicity 4)
F 0.3733 0.2500 0.0526 (multiplicity 2)

Most intense lines, 10 to 90 degrees two-theta, in order of rising 2θ:
- hkl 0 1 1, 2θ = 18.3°, rel. 14
- hkl 0 2 0, 2θ = 24.9°, rel. 66
- hkl 1 1 -1, 2θ = 25.6°, rel. 100
- hkl 1 1 1, 2θ = 27.0°, rel. 100
- hkl 0 1 2, 2θ = 29.9°, rel. 33
- hkl 1 1 2, 2θ = 36.5°, rel. 17
- hkl 1 0 -3, 2θ = 44.3°, rel. 29
- hkl 1 3 1, 2θ = 45.1°, rel. 26
- hkl 2 2 0, 2θ = 46.0°, rel. 31
- hkl 1 0 3, 2θ = 46.8°, rel. 17
- hkl 0 4 0, 2θ = 51.0°, rel. 15
- hkl 1 2 -3, 2θ = 51.5°, rel. 16